# UPaCrTc
Simulated X-ray powder pattern, copper Kα. Input: a PBE-relaxed structure.

Cell and atoms:
```
data_UPaCrTc
_symmetry_space_group_name_H-M 'F -4 3 m'
_symmetry_Int_Tables_number 216
_symmetry_space_group_name_Hall 'F -4 2 3'
_cell_length_a 6.7541
_cell_length_b 6.7541
_cell_length_c 6.7541
_cell_angle_alpha 90.00
_cell_angle_beta 90.00
_cell_angle_gamma 90.00
loop_
_atom_site_label
_atom_site_type_symbol
_atom_site_fract_x
_atom_site_fract_y
_atom_site_fract_z
U1 U 0.0000 0.0000 0.0000
Pa1 Pa 0.0000 0.0000 0.5000
Cr1 Cr 0.2500 0.2500 0.2500
Tc1 Tc 0.2500 0.2500 0.7500
```

Top 8 peaks for 15 to 90 degrees two-theta, by angle:
26.4 deg, rel. 29.3, (2 0 0); 37.7 deg, rel. 100.0, (2 2 0); 46.6 deg, rel. 9.2, (2 2 2); 54.3 deg, rel. 17.5, (4 0 0); 61.4 deg, rel. 12.9, (4 2 0); 68.0 deg, rel. 36.0, (4 2 2); 80.4 deg, rel. 11.5, (4 4 0); 86.4 deg, rel. 7.0, (6 0 0)